For KPa2PdSe5, a crystal structure in Alexandria, relaxed with PBE gives the computed X-ray powder pattern in this record (Cu Kα).

Largest 10 diffraction maxima, low angle first, 15 to 90 degrees two-theta:
- 2θ 15.8, I 29, (1 1 0)
- 2θ 25.5, I 20, (2 0 2)
- 2θ 25.8, I 17, (2 1 1)
- 2θ 31.1, I 100, (2 1 3)
- 2θ 35.7, I 26, (3 1 0)
- 2θ 37.8, I 38, (3 1 2)
- 2θ 39.7, I 60, (2 1 5)
- 2θ 48.6, I 14, (3 3 0)
- 2θ 66.1, I 17, (5 2 3)
- 2θ 71.5, I 16, (5 2 5)

Atomic structure:
a b c (Å): 7.9429 7.9429 14.7429
angles (deg): 90.00 90.00 90.00
Space group I4/mcm (No. 140)
Unique sites:
K  0.0000  0.0000  0.2500 [4 per cell]
Pa  0.1558  0.3442  0.0000 [8 per cell]
Pd  0.0000  0.5000  0.2500 [4 per cell]
Se  0.0000  0.0000  0.0000 [4 per cell]
Se  0.1483  0.3517  0.3795 [16 per cell]